(1)
The following is a theoretical XRD peak list of Sc5Bi4. It was derived from a structure optimized by DFT (PBE), using Cu Kα (λ = 1.5418 Å).
Neutral-atom scattering factors, no anomalous dispersion.

Crystal structure
Cell lengths 8.281, 8.281, 8.281 Å; angles 93.73, 93.73, 150.43 degrees
Sites, in units of the cell vectors:
Sc 0.000 0.000 0.000
Sc 0.302 0.389 0.690
Sc 0.389 0.698 0.087
Sc 0.611 0.302 0.913
Sc 0.698 0.611 0.310
Bi 0.071 0.262 0.333
Bi 0.262 0.929 0.191
Bi 0.738 0.071 0.809
Bi 0.929 0.738 0.667

Principal peaks in the range 2θ from 10° to 80°, in order of rising 2θ:
2theta  I/Imax
22.2  42
24.9  57
27.5  100
35.5  29
39.1  59
45.4  31

=====

(2)
The following is a theoretical XRD peak list of Li2Ni7Ge3. It was derived from a structure optimized by DFT (PBE), using Cu Kα (λ = 1.5418 Å).
Neutral-atom scattering factors, no anomalous dispersion.

Crystal structure
Cell lengths 2.663, 4.522, 12.212 Å; angles 90.00, 90.00, 90.00 degrees
Sites, in units of the cell vectors:
Li 0.000 0.000 0.180
Li 0.000 0.000 0.820
Ni 0.000 0.244 0.000
Ni 0.000 0.500 0.313
Ni 0.000 0.500 0.687
Ni 0.000 0.756 0.000
Ni 0.500 0.000 0.346
Ni 0.500 0.000 0.654
Ni 0.500 0.500 0.500
Ge 0.000 0.000 0.500
Ge 0.500 0.500 0.144
Ge 0.500 0.500 0.856

Principal peaks in the range 2θ from 10° to 80°, in order of rising 2θ:
2theta  I/Imax
39.9  24
40.5  36
42.1  30
44.5  33
45.2  25
45.4  100

=====

(3)
The following is a theoretical XRD peak list of PuPd2Au8. It was derived from a structure optimized by DFT (PBE), using Cu Kα (λ = 1.5418 Å).
Neutral-atom scattering factors, no anomalous dispersion.

Crystal structure
Cell lengths 8.822, 8.822, 8.822 Å; angles 160.21, 115.66, 68.03 degrees
Sites, in units of the cell vectors:
Pu 0.000 0.000 0.000
Pd 0.357 0.357 0.000
Pd 0.643 0.643 0.000
Au 0.087 0.837 0.250
Au 0.191 0.691 0.500
Au 0.304 0.500 0.804
Au 0.413 0.163 0.250
Au 0.587 0.837 0.750
Au 0.696 0.500 0.196
Au 0.809 0.309 0.500
Au 0.913 0.163 0.750

Principal peaks in the range 2θ from 10° to 80°, in order of rising 2θ:
2theta  I/Imax
33.4  17
36.9  28
38.3  23
39.9  100
54.2  13
68.5  12

=====

(4)
The following is a theoretical XRD peak list of LiHfCl6. It was derived from a structure optimized by DFT (PBE), using Cu Kα (λ = 1.5418 Å).
Neutral-atom scattering factors, no anomalous dispersion.

Crystal structure
Cell lengths 6.331, 6.493, 6.796 Å; angles 118.38, 91.24, 111.51 degrees
Sites, in units of the cell vectors:
Li 0.000 0.000 0.000
Hf 0.500 0.000 0.500
Cl 0.157 0.891 0.650
Cl 0.250 0.836 0.135
Cl 0.471 0.548 0.332
Cl 0.529 0.452 0.668
Cl 0.750 0.164 0.865
Cl 0.843 0.109 0.350

Principal peaks in the range 2θ from 10° to 80°, in order of rising 2θ:
2theta  I/Imax
15.3  100
15.5  98
16.0  65
17.2  81
19.0  67
30.6  66